(1)
# SrPr3Se4
Theoretical PXRD pattern, Cu Kα X-rays. Input: DFT lattice parameters and positions (PBE).
No peak broadening, texture or thermal motion is included.

Structure:
```
data_SrPr3Se4
_symmetry_space_group_name_H-M 'P m m m'
_symmetry_Int_Tables_number 47
_cell_length_a 4.315
_cell_length_b 6.050
_cell_length_c 8.645
_cell_angle_alpha 90.00
_cell_angle_beta 90.00
_cell_angle_gamma 90.00
loop_
_symmetry_equiv_pos_as_xyz
'x,y,z'
'-x,-y,-z'
'-x,-y,z'
'x,y,-z'
'x,-y,-z'
'-x,y,z'
'-x,y,-z'
'x,-y,z'
loop_
_atom_site_label
_atom_site_type_symbol
_atom_site_fract_x
_atom_site_fract_y
_atom_site_fract_z
Sr1 Sr 0.000 0.000 0.000
Pr1 Pr 0.000 0.000 0.500
Pr2 Pr 0.500 0.500 0.264
Se1 Se 0.000 0.500 0.000
Se2 Se 0.000 0.500 0.500
Se3 Se 0.500 0.000 0.252
```

Peak list (10 most intense, 2θ from 10° to 90°, low angle first)
2θ (°)	d_spacing	intensity	(hkl)
25.34	3.515	15	1 1 0
29.24	3.054	100	1 0 2
29.53	3.025	49	0 2 0
41.83	2.159	37	2 0 0
42.04	2.149	74	1 2 2
52.04	1.757	39	2 2 0
68.85	1.364	25	3 0 2
69.34	1.355	17	1 4 2
76.54	1.245	24	3 2 2
76.97	1.239	12	2 4 0

***

(2)
# HfPd4Pt3
Theoretical PXRD pattern, Cu Kα X-rays. Input: DFT lattice parameters and positions (PBE).
No peak broadening, texture or thermal motion is included.

Structure:
```
data_HfPd4Pt3
_symmetry_space_group_name_H-M 'C 1 2/m 1'
_symmetry_Int_Tables_number 12
_cell_length_a 18.558
_cell_length_b 3.046
_cell_length_c 4.732
_cell_angle_alpha 90.00
_cell_angle_beta 104.64
_cell_angle_gamma 90.00
loop_
_symmetry_equiv_pos_as_xyz
'x,y,z'
'-x,-y,-z'
'-x,y,-z'
'x,-y,z'
'x+1/2,y+1/2,z'
'-x+1/2,-y+1/2,-z'
'-x+1/2,y+1/2,-z'
'x+1/2,-y+1/2,z'
loop_
_atom_site_label
_atom_site_type_symbol
_atom_site_fract_x
_atom_site_fract_y
_atom_site_fract_z
Hf1 Hf 0.000 0.000 0.000
Pd1 Pd 0.124 0.000 0.764
Pd2 Pd 0.250 0.000 0.249
Pt1 Pt 0.000 0.500 0.500
Pt2 Pt 0.122 0.500 0.264
```

Peak list (10 most intense, 2θ from 10° to 90°, low angle first)
2θ (°)	d_spacing	intensity	(hkl)
36.48	2.463	34	1 1 1
39.39	2.287	21	4 0 -2
40.18	2.244	39	8 0 0
40.55	2.225	100	3 1 1
43.23	2.093	22	6 0 -2
46.70	1.945	18	7 1 -1
60.83	1.523	11	0 2 0
66.79	1.401	15	3 1 -3
73.26	1.292	17	11 1 1
75.43	1.260	12	8 2 0

***

(3)
# BaAsPb
Theoretical PXRD pattern, Cu Kα X-rays. Input: DFT lattice parameters and positions (PBE).
No peak broadening, texture or thermal motion is included.

Structure:
```
data_BaAsPb
_symmetry_space_group_name_H-M 'P 4/n m m'
_symmetry_Int_Tables_number 129
_cell_length_a 4.756
_cell_length_b 4.756
_cell_length_c 9.602
_cell_angle_alpha 90.00
_cell_angle_beta 90.00
_cell_angle_gamma 90.00
loop_
_symmetry_equiv_pos_as_xyz
'x,y,z'
'-x,-y,-z'
'-y+1/2,x,z'
'y+1/2,-x,-z'
'-x+1/2,-y+1/2,z'
'x+1/2,y+1/2,-z'
'y,-x+1/2,z'
'-y,x+1/2,-z'
'x+1/2,-y,-z'
'-x+1/2,y,z'
'-y,-x,-z'
'y,x,z'
'-x,y+1/2,-z'
'x,-y+1/2,z'
'y+1/2,x+1/2,-z'
'-y+1/2,-x+1/2,z'
loop_
_atom_site_label
_atom_site_type_symbol
_atom_site_fract_x
_atom_site_fract_y
_atom_site_fract_z
Ba1 Ba 0.250 0.250 0.174
As1 As 0.250 0.250 0.831
Pb1 Pb 0.250 0.250 0.554
```

Peak list (10 most intense, 2θ from 10° to 90°, low angle first)
2θ (°)	d_spacing	intensity	(hkl)
26.38	3.379	34	1 0 2
26.50	3.363	100	1 1 0
27.88	3.201	26	0 0 3
33.76	2.655	22	1 0 3
37.83	2.378	39	2 0 0
38.84	2.318	43	1 1 3
46.71	1.945	15	2 1 2
47.64	1.909	24	2 0 3
61.66	1.504	22	3 1 0
68.99	1.361	16	3 1 3

***

(4)
# Sc6Al16Rh7
Theoretical PXRD pattern, Cu Kα X-rays. Input: DFT lattice parameters and positions (PBE).
No peak broadening, texture or thermal motion is included.

Structure:
```
data_Sc6Al16Rh7
_symmetry_space_group_name_H-M 'F m -3 m'
_symmetry_Int_Tables_number 225
_symmetry_space_group_name_Hall '-F 4 2 3'
_cell_length_a 12.361
_cell_length_b 12.361
_cell_length_c 12.361
_cell_angle_alpha 90.00
_cell_angle_beta 90.00
_cell_angle_gamma 90.00
loop_
_atom_site_label
_atom_site_type_symbol
_atom_site_fract_x
_atom_site_fract_y
_atom_site_fract_z
Sc1 Sc 0.000 0.000 0.204
Al1 Al 0.120 0.120 0.380
Al2 Al 0.166 0.166 0.166
Rh1 Rh 0.000 0.000 0.500
Rh2 Rh 0.000 0.250 0.250
```

Peak list (10 most intense, 2θ from 10° to 90°, low angle first)
2θ (°)	d_spacing	intensity	(hkl)
24.95	3.568	45	2 2 2
28.89	3.090	39	4 0 0
35.58	2.523	14	4 2 2
37.82	2.379	18	3 3 3
41.32	2.185	100	4 4 0
48.87	1.864	39	6 2 2
65.87	1.418	12	6 6 2
67.81	1.382	14	8 4 0
75.33	1.262	21	8 4 4
80.80	1.189	15	6 6 6

***

(5)
# CsPd2F6
Theoretical PXRD pattern, Cu Kα X-rays. Input: DFT lattice parameters and positions (PBE).
No peak broadening, texture or thermal motion is included.

Structure:
```
data_CsPd2F6
_symmetry_space_group_name_H-M 'P -3 1 m'
_symmetry_Int_Tables_number 162
_symmetry_space_group_name_Hall '-P 3 2'
_cell_length_a 5.7636
_cell_length_b 5.7636
_cell_length_c 6.4056
_cell_angle_alpha 90.00
_cell_angle_beta 90.00
_cell_angle_gamma 120.00
loop_
_atom_site_label
_atom_site_type_symbol
_atom_site_fract_x
_atom_site_fract_y
_atom_site_fract_z
Cs1 Cs 0.0000 0.0000 0.0000
Pd1 Pd 0.3333 0.6667 0.5000
F1 F 0.0000 0.3708 0.6733
```

Peak list (10 most intense, 2θ from 10° to 90°, low angle first)
2θ (°)	d_spacing	intensity	(hkl)
13.82	6.406	19	0 0 1
22.58	3.937	100	1 0 1
27.86	3.203	12	0 0 2
31.03	2.882	31	1 1 0
38.72	2.325	20	2 0 1
42.18	2.142	47	2 -1 2
46.25	1.963	12	1 0 3
50.43	1.810	21	3 -1 1
55.21	1.664	13	3 0 0
66.84	1.400	11	1 1 4